Computed powder diffractogram of HoNiF5 for λ = 1.5418 Å (Cu Kα), from a DFT-relaxed cell (GGA+U, Alexandria).

Cell and atoms:
```
HoNiF5
1.0
4.492 -3.297 0.000
4.492 3.297 0.000
-3.127 0.000 6.858
Ho Ni F
2 2 10
Cartesian
2.147 2.939 5.143
3.710 -2.939 1.714
4.492 0.000 0.000
2.928 0.000 3.429
4.294 2.054 0.242
3.126 2.054 3.187
1.154 0.166 2.575
-0.410 -0.166 6.004
2.147 0.695 5.143
3.710 -0.695 1.714
6.267 0.166 0.854
4.703 -0.166 4.283
2.731 -2.054 3.670
1.562 -2.054 6.616
```

Top 8 peaks for 10° ≤ 2θ ≤ 90°, most intense first:
2θ (°)	I_rel
21.7	100
27.3	97
27.0	40
35.0	38
17.3	38
52.7	27
44.3	25
35.2	22